Structure and theoretical XRD peak list of Li3BP2O8 (the GGA-PBE geometry in Alexandria; CuKα).

Principal peaks in the range 2θ from 15° to 90°, low angle first:
- 2θ = 18.36°, rel. 100, (1 0 1)
- 2θ = 21.12°, rel. 45, (1 1 1)
- 2θ = 22.04°, rel. 56, (1 1 0)
- 2θ = 24.17°, rel. 44, (0 2 0)
- 2θ = 30.37°, rel. 43, (0 2 2)
- 2θ = 31.79°, rel. 71, (-1 2 1)

Structural model:
```
data_Li3BP2O8
_chemical_formula_sum 'Li6 B2 P4 O16'
_space_group_name_H-M_alt 'P -1'
_space_group_IT_number 2
_cell_length_a 5.209
_cell_length_b 7.528
_cell_length_c 7.926
_cell_angle_alpha 78.26
_cell_angle_beta 73.70
_cell_angle_gamma 89.59
loop_
_space_group_symop_operation_xyz
'x,y,z'
'-x,-y,-z'
loop_
_atom_site_label
_atom_site_fract_x
_atom_site_fract_y
_atom_site_fract_z
_atom_site_occupancy
Li1 0.146 0.023 0.104 1
Li2 0.230 0.365 0.802 1
Li3 0.321 0.009 0.646 1
B1 0.258 0.463 0.268 1
P1 0.124 0.750 0.442 1
P2 0.372 0.715 0.954 1
O1 0.049 0.320 0.357 1
O2 0.051 0.190 0.683 1
O3 0.178 0.566 0.109 1
O4 0.201 0.870 0.900 1
O5 0.294 0.584 0.385 1
O6 0.315 0.900 0.443 1
O7 0.398 0.225 0.985 1
O8 0.473 0.614 0.791 1
```